[1]
Computed PXRD pattern
Compound: CsZnHg6
Radiation: a wavelength of 1.5418 Å
Structure: a cell relaxed with GGA-PBE

Most intense lines, 10° ≤ 2θ ≤ 90°, by angle:
| d (Å) | I/Imax | index |
| --- | --- | --- |
| 3.275 | 64 | 1 0 4 |
| 3.216 | 100 | 0 2 1 |
| 3.017 | 30 | 2 0 2 |
| 2.455 | 31 | 2 1 1 |
| 2.363 | 35 | 1 2 2 |
| 2.225 | 41 | 2 0 5 |
| 2.011 | 42 | 3 0 3 |
| 1.900 | 23 | 2 2 0 |
| 1.654 | 20 | 0 3 6 |
| 1.402 | 26 | 3 2 4 |

Cell lengths 7.6007, 7.6007, 15.1015 Å; angles 90.00, 90.00, 120.00 degrees
Space group R-3m (No. 166, hexagonal axes)
Inequivalent atoms, fractional coordinates:
Cs 0.0000 0.0000 0.0000
Zn 0.0000 0.0000 0.5000
Hg 0.0616 0.5308 0.9041


[2]
Computed PXRD pattern
Compound: LaPrErTh
Radiation: a wavelength of 1.5418 Å
Structure: a cell relaxed with GGA-PBE

Most intense lines, 10° ≤ 2θ ≤ 90°, by angle:
| d (Å) | I/Imax | index |
| --- | --- | --- |
| 2.970 | 100 | 1 0 2 |
| 2.590 | 16 | 0 0 4 |
| 2.564 | 34 | 1 1 0 |
| 1.822 | 23 | 1 1 4 |
| 1.813 | 12 | 2 0 0 |
| 1.559 | 13 | 1 0 6 |
| 1.547 | 29 | 2 1 2 |
| 1.485 | 12 | 2 0 4 |
| 1.182 | 10 | 2 1 6 |
| 1.177 | 6 | 3 0 2 |

Cell lengths 3.626, 3.626, 10.360 Å; angles 90.00, 90.00, 90.00 degrees
Space group P4mm (No. 99)
Inequivalent atoms, fractional coordinates:
La 0.000 0.000 0.000
Pr 0.500 0.500 0.728
Er 0.500 0.500 0.256
Th 0.000 0.000 0.486


[3]
Computed PXRD pattern
Compound: Pr2Nd2Pd3
Radiation: a wavelength of 1.5418 Å
Structure: a cell relaxed with GGA-PBE

Most intense lines, 10° ≤ 2θ ≤ 90°, by angle:
| d (Å) | I/Imax | index |
| --- | --- | --- |
| 3.460 | 11 | 1 0 1 |
| 2.979 | 50 | 0 1 2 |
| 2.966 | 100 | 1 1 -1 |
| 2.125 | 19 | 2 -1 0 |
| 2.116 | 38 | 1 0 -3 |
| 2.088 | 36 | 1 2 1 |
| 2.070 | 18 | 0 3 -2 |
| 1.730 | 20 | 2 0 2 |
| 1.715 | 10 | 0 2 -4 |
| 1.220 | 15 | -3 4 1 |

Cell lengths 4.250, 7.159, 7.320 Å; angles 99.23, 90.05, 107.17 degrees
Space group P-1 (No. 2)
Inequivalent atoms, fractional coordinates:
Pr 0.129 0.255 0.371
Nd 0.373 0.744 0.113
Pd 0.000 0.000 0.000
Pd 0.247 0.496 0.745


[4]
Computed PXRD pattern
Compound: LuPdSe2
Radiation: a wavelength of 1.5418 Å
Structure: a cell relaxed with GGA-PBE

Most intense lines, 10° ≤ 2θ ≤ 90°, by angle:
| d (Å) | I/Imax | index |
| --- | --- | --- |
| 4.094 | 27 | 0 0 6 |
| 3.245 | 39 | 1 0 1 |
| 3.163 | 100 | 0 1 2 |
| 2.728 | 17 | 0 0 9 |
| 2.239 | 66 | 0 1 8 |
| 1.965 | 44 | 1 0 10 |
| 1.890 | 46 | 1 1 0 |
| 1.444 | 16 | 2 0 8 |
| 1.389 | 16 | 1 0 16 |
| 1.106 | 17 | 1 1 18 |

Cell lengths 3.7801, 3.7801, 24.5627 Å; angles 90.00, 90.00, 120.00 degrees
Space group R-3m (No. 166, hexagonal axes)
Inequivalent atoms, fractional coordinates:
Lu 0.0000 0.0000 0.0000
Pd 0.0000 0.0000 0.5000
Se 0.0000 0.0000 0.1112


[5]
Computed PXRD pattern
Compound: KMnVBr6
Radiation: a wavelength of 1.5418 Å
Structure: a cell relaxed with GGA-PBE

Most intense lines, 10° ≤ 2θ ≤ 90°, by angle:
| d (Å) | I/Imax | index |
| --- | --- | --- |
| 7.362 | 42 | 0 0 2 |
| 4.608 | 25 | 1 0 2 |
| 3.681 | 12 | 0 0 4 |
| 3.095 | 100 | 2 -1 2 |
| 2.502 | 63 | 1 1 4 |
| 2.137 | 13 | 2 1 2 |
| 1.992 | 23 | 2 -1 6 |
| 1.970 | 28 | 3 0 0 |
| 1.662 | 11 | 4 -2 2 |
| 1.620 | 14 | 2 -1 8 |

Cell lengths 6.8233, 6.8233, 14.7245 Å; angles 90.00, 90.00, 120.00 degrees
Space group P-31c (No. 163)
Inequivalent atoms, fractional coordinates:
K 0.0000 0.0000 0.0000
Mn 0.3333 0.6667 0.2500
V 0.3333 0.6667 0.7500
Br 0.0122 0.3761 0.6493


[6]
Computed PXRD pattern
Compound: LaIn2FeHg
Radiation: a wavelength of 1.5418 Å
Structure: a cell relaxed with GGA-PBE

Most intense lines, 10° ≤ 2θ ≤ 90°, by angle:
| d (Å) | I/Imax | index |
| --- | --- | --- |
| 3.558 | 9 | 1 0 1 |
| 2.917 | 100 | 1 1 1 |
| 2.549 | 53 | 2 0 0 |
| 2.484 | 24 | 0 0 2 |
| 1.802 | 18 | 2 2 0 |
| 1.779 | 35 | 2 0 2 |
| 1.533 | 29 | 3 1 1 |
| 1.505 | 14 | 1 1 3 |
| 1.459 | 18 | 2 2 2 |
| 1.155 | 12 | 3 1 3 |

Cell lengths 5.097, 5.097, 4.968 Å; angles 90.00, 90.00, 90.00 degrees
Space group P4/mmm (No. 123)
Inequivalent atoms, fractional coordinates:
La 0.000 0.000 0.000
In 0.000 0.500 0.500
Fe 0.000 0.000 0.500
Hg 0.500 0.500 0.000


[7]
Computed PXRD pattern
Compound: Ba2YSn3O8
Radiation: a wavelength of 1.5418 Å
Structure: a cell relaxed with GGA-PBE

Most intense lines, 10° ≤ 2θ ≤ 90°, by angle:
| d (Å) | I/Imax | index |
| --- | --- | --- |
| 3.042 | 58 | 1 1 0 |
| 2.895 | 100 | 1 0 3 |
| 2.151 | 37 | 2 0 0 |
| 1.727 | 45 | 2 1 3 |
| 1.645 | 14 | 1 1 6 |
| 1.521 | 12 | 2 2 0 |
| 1.447 | 11 | 2 0 6 |
| 1.361 | 11 | 3 1 0 |
| 1.347 | 10 | 3 0 3 |
| 1.141 | 12 | 3 2 3 |

Cell lengths 4.303, 4.303, 11.737 Å; angles 90.00, 90.00, 90.00 degrees
Space group P4/mmm (No. 123)
Inequivalent atoms, fractional coordinates:
Ba 0.000 0.000 0.169
Y 0.000 0.000 0.500
Sn 0.500 0.500 0.000
Sn 0.500 0.500 0.365
O 0.000 0.500 0.000
O 0.000 0.500 0.374
O 0.500 0.500 0.186


Repeat the sixth record exactly.
Computed PXRD pattern
Compound: LaIn2FeHg
Radiation: a wavelength of 1.5418 Å
Structure: a cell relaxed with GGA-PBE

Most intense lines, 10° ≤ 2θ ≤ 90°, by angle:
| d (Å) | I/Imax | index |
| --- | --- | --- |
| 3.558 | 9 | 1 0 1 |
| 2.917 | 100 | 1 1 1 |
| 2.549 | 53 | 2 0 0 |
| 2.484 | 24 | 0 0 2 |
| 1.802 | 18 | 2 2 0 |
| 1.779 | 35 | 2 0 2 |
| 1.533 | 29 | 3 1 1 |
| 1.505 | 14 | 1 1 3 |
| 1.459 | 18 | 2 2 2 |
| 1.155 | 12 | 3 1 3 |

Cell lengths 5.097, 5.097, 4.968 Å; angles 90.00, 90.00, 90.00 degrees
Space group P4/mmm (No. 123)
Inequivalent atoms, fractional coordinates:
La 0.000 0.000 0.000
In 0.000 0.500 0.500
Fe 0.000 0.000 0.500
Hg 0.500 0.500 0.000